[1]
The following is a calculated X-ray powder pattern of Ac6SnSb5. It was derived from the PBE geometry in Alexandria, using copper Kα.
Peak positions follow from Bragg's law for the DFT cell and can differ from measured ones.

Largest 6 diffraction maxima, by angle, 2θ = 10–90°:
- 2θ = 26.24°, 3.396 Å, intensity 100.0, (1 3 1)
- 2θ = 37.40°, 2.405 Å, intensity 39.9, (0 6 0)
- 2θ = 37.50°, 2.398 Å, intensity 39.6, (2 0 2)
- 2θ = 46.26°, 1.963 Å, intensity 22.0, (4 0 0)
- 2θ = 60.93°, 1.521 Å, intensity 19.5, (4 6 0)
- 2θ = 61.07°, 1.517 Å, intensity 19.4, (3 3 3)

```
data_Ac6SnSb5
_chemical_formula_sum 'Ac12 Sn2 Sb10'
_space_group_name_H-M_alt 'C 1 2/m 1'
_space_group_IT_number 12
_space_group_name_Hall '-C 2y'
_cell_length_a 8.326
_cell_length_b 14.437
_cell_length_c 8.303
_cell_angle_alpha 90.00
_cell_angle_beta 109.58
_cell_angle_gamma 90.00
loop_
_atom_site_label
_atom_site_type_symbol
_atom_site_fract_x
_atom_site_fract_y
_atom_site_fract_z
Ac1 Ac 0.248 0.000 0.251
Ac2 Ac 0.249 0.168 0.750
Sn1 Sn 0.000 0.500 0.000
Sb1 Sb 0.000 0.000 0.500
Sb2 Sb 0.000 0.166 0.000
Sb3 Sb 0.000 0.333 0.500
```

---

[2]
The following is a calculated X-ray powder pattern of AcSnSb. It was derived from the PBE geometry in Alexandria, using copper Kα.
Peak positions follow from Bragg's law for the DFT cell and can differ from measured ones.

Largest 6 diffraction maxima, by angle, 2θ = 10–90°:
- 2θ = 30.79°, 2.904 Å, intensity 100.0, (1 1 1)
- 2θ = 31.19°, 2.868 Å, intensity 98.7, (1 1 -2)
- 2θ = 31.65°, 2.827 Å, intensity 36.0, (0 0 3)
- 2θ = 37.71°, 2.385 Å, intensity 32.4, (0 2 0)
- 2θ = 38.13°, 2.360 Å, intensity 30.7, (2 0 -1)
- 2θ = 54.71°, 1.678 Å, intensity 22.9, (2 2 -1)

```
data_AcSnSb
_chemical_formula_sum 'Ac2 Sn2 Sb2'
_space_group_name_H-M_alt 'P -1'
_space_group_IT_number 2
_space_group_name_Hall '-P 1'
_cell_length_a 4.721
_cell_length_b 4.771
_cell_length_c 8.758
_cell_angle_alpha 90.05
_cell_angle_beta 104.49
_cell_angle_gamma 90.04
loop_
_atom_site_label
_atom_site_type_symbol
_atom_site_fract_x
_atom_site_fract_y
_atom_site_fract_z
Ac1 Ac 0.135 0.000 0.293
Sn1 Sn 0.000 0.500 0.000
Sn2 Sn 0.500 0.000 0.000
Sb1 Sb 0.338 0.500 0.639
```

---

[3]
The following is a calculated X-ray powder pattern of SrAcSnSb. It was derived from the PBE geometry in Alexandria, using copper Kα.
Peak positions follow from Bragg's law for the DFT cell and can differ from measured ones.

Largest 6 diffraction maxima, by angle, 2θ = 10–90°:
- 2θ = 30.95°, 2.890 Å, intensity 100.0, (2 2 0)
- 2θ = 44.33°, 2.043 Å, intensity 18.8, (4 0 0)
- 2θ = 55.05°, 1.668 Å, intensity 39.9, (4 2 2)
- 2θ = 64.50°, 1.445 Å, intensity 12.5, (4 4 0)
- 2θ = 73.25°, 1.292 Å, intensity 17.3, (6 2 0)
- 2θ = 89.80°, 1.092 Å, intensity 21.8, (6 4 2)

```
data_SrAcSnSb
_chemical_formula_sum 'Sr4 Ac4 Sn4 Sb4'
_space_group_name_H-M_alt 'F -4 3 m'
_space_group_IT_number 216
_space_group_name_Hall 'F -4 2 3'
_cell_length_a 8.173
_cell_length_b 8.173
_cell_length_c 8.173
_cell_angle_alpha 90.00
_cell_angle_beta 90.00
_cell_angle_gamma 90.00
loop_
_atom_site_label
_atom_site_type_symbol
_atom_site_fract_x
_atom_site_fract_y
_atom_site_fract_z
Sr1 Sr 0.000 0.000 0.000
Ac1 Ac 0.000 0.000 0.500
Sn1 Sn 0.250 0.250 0.750
Sb1 Sb 0.250 0.250 0.250
```

---

[4]
The following is a calculated X-ray powder pattern of SrAc3Sb4. It was derived from the PBE geometry in Alexandria, using copper Kα.
Peak positions follow from Bragg's law for the DFT cell and can differ from measured ones.

Largest 6 diffraction maxima, by angle, 2θ = 10–90°:
- 2θ = 26.31°, 3.388 Å, intensity 100.0, (2 0 0)
- 2θ = 37.55°, 2.395 Å, intensity 79.0, (2 2 0)
- 2θ = 46.43°, 1.956 Å, intensity 29.0, (2 2 2)
- 2θ = 61.18°, 1.515 Å, intensity 38.3, (4 2 0)
- 2θ = 67.76°, 1.383 Å, intensity 28.2, (4 2 2)
- 2θ = 86.11°, 1.129 Å, intensity 19.1, (6 0 0)

```
data_SrAc3Sb4
_chemical_formula_sum 'Sr1 Ac3 Sb4'
_space_group_name_H-M_alt 'P m -3 m'
_space_group_IT_number 221
_space_group_name_Hall '-P 4 2 3'
_cell_length_a 6.775
_cell_length_b 6.775
_cell_length_c 6.775
_cell_angle_alpha 90.00
_cell_angle_beta 90.00
_cell_angle_gamma 90.00
loop_
_atom_site_label
_atom_site_type_symbol
_atom_site_fract_x
_atom_site_fract_y
_atom_site_fract_z
Sr1 Sr 0.000 0.000 0.000
Ac1 Ac 0.000 0.500 0.500
Sb1 Sb 0.000 0.000 0.500
Sb2 Sb 0.500 0.500 0.500
```

---

[5]
The following is a calculated X-ray powder pattern of Ac3TbSb4. It was derived from the PBE geometry in Alexandria, using copper Kα.
Peak positions follow from Bragg's law for the DFT cell and can differ from measured ones.

Largest 6 diffraction maxima, by angle, 2θ = 10–90°:
- 2θ = 26.79°, 3.328 Å, intensity 100.0, (2 0 1)
- 2θ = 38.25°, 2.353 Å, intensity 78.2, (0 0 2)
- 2θ = 47.31°, 1.921 Å, intensity 28.4, (0 4 2)
- 2θ = 55.21°, 1.664 Å, intensity 13.4, (4 0 2)
- 2θ = 62.40°, 1.488 Å, intensity 36.9, (2 0 3)
- 2θ = 69.15°, 1.359 Å, intensity 27.1, (2 4 3)

```
data_Ac3TbSb4
_chemical_formula_sum 'Ac6 Tb2 Sb8'
_space_group_name_H-M_alt 'C m m m'
_space_group_IT_number 65
_space_group_name_Hall '-C 2 2'
_cell_length_a 9.411
_cell_length_b 13.300
_cell_length_c 4.710
_cell_angle_alpha 90.00
_cell_angle_beta 90.00
_cell_angle_gamma 90.00
loop_
_atom_site_label
_atom_site_type_symbol
_atom_site_fract_x
_atom_site_fract_y
_atom_site_fract_z
Ac1 Ac 0.000 0.000 0.000
Ac2 Ac 0.250 0.250 0.500
Tb1 Tb 0.000 0.500 0.000
Sb1 Sb 0.000 0.258 0.000
Sb2 Sb 0.236 0.500 0.500
```

---

[6]
The following is a calculated X-ray powder pattern of AcTb4Sb5. It was derived from the PBE geometry in Alexandria, using copper Kα.
Peak positions follow from Bragg's law for the DFT cell and can differ from measured ones.

Largest 6 diffraction maxima, by angle, 2θ = 10–90°:
- 2θ = 28.03°, 3.184 Å, intensity 51.5, (0 2 0)
- 2θ = 28.17°, 3.168 Å, intensity 100.0, (1 0 5)
- 2θ = 40.17°, 2.245 Å, intensity 95.8, (1 2 5)
- 2θ = 49.77°, 1.832 Å, intensity 41.0, (2 2 0)
- 2θ = 65.87°, 1.418 Å, intensity 24.9, (2 2 10)
- 2θ = 73.11°, 1.294 Å, intensity 24.9, (3 2 5)

```
data_AcTb4Sb5
_chemical_formula_sum 'Ac2 Tb8 Sb10'
_space_group_name_H-M_alt 'I m m m'
_space_group_IT_number 71
_space_group_name_Hall '-I 2 2'
_cell_length_a 4.478
_cell_length_b 6.368
_cell_length_c 22.414
_cell_angle_alpha 90.00
_cell_angle_beta 90.00
_cell_angle_gamma 90.00
loop_
_atom_site_label
_atom_site_type_symbol
_atom_site_fract_x
_atom_site_fract_y
_atom_site_fract_z
Ac1 Ac 0.000 0.000 0.000
Tb1 Tb 0.000 0.000 0.204
Tb2 Tb 0.000 0.000 0.399
Sb1 Sb 0.000 0.500 0.000
Sb2 Sb 0.000 0.500 0.199
Sb3 Sb 0.000 0.500 0.392
```

---

[7]
The following is a calculated X-ray powder pattern of AcTb3Sb4. It was derived from the PBE geometry in Alexandria, using copper Kα.
Peak positions follow from Bragg's law for the DFT cell and can differ from measured ones.

Largest 6 diffraction maxima, by angle, 2θ = 10–90°:
- 2θ = 27.48°, 3.245 Å, intensity 98.7, (1 0 5)
- 2θ = 29.29°, 3.049 Å, intensity 100.0, (1 0 6)
- 2θ = 40.23°, 2.242 Å, intensity 83.1, (1 1 0)
- 2θ = 40.85°, 2.209 Å, intensity 43.8, (1 0 11)
- 2θ = 49.39°, 1.845 Å, intensity 31.5, (0 0 16)
- 2θ = 65.50°, 1.425 Å, intensity 46.7, (1 1 16)

```
data_AcTb3Sb4
_chemical_formula_sum 'Ac2 Tb6 Sb8'
_space_group_name_H-M_alt 'P 63/m m c'
_space_group_IT_number 194
_space_group_name_Hall '-P 6c 2c'
_cell_length_a 4.4838
_cell_length_b 4.4838
_cell_length_c 29.5485
_cell_angle_alpha 90.00
_cell_angle_beta 90.00
_cell_angle_gamma 120.00
loop_
_atom_site_label
_atom_site_type_symbol
_atom_site_fract_x
_atom_site_fract_y
_atom_site_fract_z
Ac1 Ac 0.3333 0.6667 0.2500
Tb1 Tb 0.0000 0.0000 0.0000
Tb2 Tb 0.3333 0.6667 0.6193
Sb1 Sb 0.0000 0.0000 0.1783
Sb2 Sb 0.3333 0.6667 0.0596
```

---

[8]
The following is a calculated X-ray powder pattern of Ac2TbSb2Te2. It was derived from the PBE geometry in Alexandria, using copper Kα.
Peak positions follow from Bragg's law for the DFT cell and can differ from measured ones.

Largest 6 diffraction maxima, by angle, 2θ = 10–90°:
- 2θ = 21.91°, 4.056 Å, intensity 40.0, (1 1 0)
- 2θ = 30.80°, 2.903 Å, intensity 28.2, (1 1 4)
- 2θ = 31.14°, 2.872 Å, intensity 100.0, (2 0 0)
- 2θ = 44.64°, 2.030 Å, intensity 54.4, (2 2 0)
- 2θ = 65.00°, 1.435 Å, intensity 17.9, (4 0 0)
- 2θ = 73.86°, 1.283 Å, intensity 17.0, (4 2 0)

```
data_Ac2TbSb2Te2
_chemical_formula_sum 'Ac4 Tb2 Sb4 Te4'
_space_group_name_H-M_alt 'I 4/m m m'
_space_group_IT_number 139
_space_group_name_Hall '-I 4 2'
_cell_length_a 5.737
_cell_length_b 5.737
_cell_length_c 16.627
_cell_angle_alpha 90.00
_cell_angle_beta 90.00
_cell_angle_gamma 90.00
loop_
_atom_site_label
_atom_site_type_symbol
_atom_site_fract_x
_atom_site_fract_y
_atom_site_fract_z
Ac1 Ac 0.000 0.000 0.124
Tb1 Tb 0.000 0.000 0.500
Sb1 Sb 0.000 0.500 0.000
Te1 Te 0.000 0.000 0.316
```

---

[9]
The following is a calculated X-ray powder pattern of AcTcSb. It was derived from the PBE geometry in Alexandria, using copper Kα.
Peak positions follow from Bragg's law for the DFT cell and can differ from measured ones.

Largest 6 diffraction maxima, by angle, 2θ = 10–90°:
- 2θ = 26.42°, 3.373 Å, intensity 28.3, (1 0 1)
- 2θ = 33.83°, 2.649 Å, intensity 100.0, (1 0 3)
- 2θ = 36.17°, 2.484 Å, intensity 52.3, (1 1 0)
- 2θ = 47.35°, 1.920 Å, intensity 20.1, (1 1 4)
- 2θ = 52.08°, 1.756 Å, intensity 18.5, (2 0 0)
- 2θ = 63.56°, 1.464 Å, intensity 32.5, (2 1 3)

```
data_AcTcSb
_chemical_formula_sum 'Ac2 Tc2 Sb2'
_space_group_name_H-M_alt 'I 4 m m'
_space_group_IT_number 107
_space_group_name_Hall 'I 4 -2'
_cell_length_a 3.512
_cell_length_b 3.512
_cell_length_c 12.105
_cell_angle_alpha 90.00
_cell_angle_beta 90.00
_cell_angle_gamma 90.00
loop_
_atom_site_label
_atom_site_type_symbol
_atom_site_fract_x
_atom_site_fract_y
_atom_site_fract_z
Ac1 Ac 0.000 0.000 0.000
Tc1 Tc 0.000 0.000 0.679
Sb1 Sb 0.000 0.000 0.282
```

---

[10]
The following is a calculated X-ray powder pattern of Ac7Sb5Te. It was derived from the PBE geometry in Alexandria, using copper Kα.
Peak positions follow from Bragg's law for the DFT cell and can differ from measured ones.

Largest 6 diffraction maxima, by angle, 2θ = 10–90°:
- 2θ = 24.86°, 3.582 Å, intensity 52.2, (2 0 -7)
- 2θ = 25.00°, 3.562 Å, intensity 54.8, (2 0 7)
- 2θ = 26.13°, 3.411 Å, intensity 59.6, (3 1 -2)
- 2θ = 26.18°, 3.403 Å, intensity 61.5, (3 1 2)
- 2θ = 27.12°, 3.288 Å, intensity 100.0, (3 1 -3)
- 2θ = 38.01°, 2.367 Å, intensity 89.9, (0 2 0)

```
data_Ac7Sb5Te
_chemical_formula_sum 'Ac28 Sb20 Te4'
_space_group_name_H-M_alt 'C 1 m 1'
_space_group_IT_number 8
_space_group_name_Hall 'C -2y'
_cell_length_a 15.714
_cell_length_b 4.734
_cell_length_c 28.072
_cell_angle_alpha 90.00
_cell_angle_beta 90.39
_cell_angle_gamma 90.00
loop_
_atom_site_label
_atom_site_type_symbol
_atom_site_fract_x
_atom_site_fract_y
_atom_site_fract_z
Ac1 Ac 0.000 0.000 0.000
Ac2 Ac 0.001 0.000 0.571
Ac3 Ac 0.049 0.500 0.429
Ac4 Ac 0.053 0.500 0.141
Ac5 Ac 0.099 0.000 0.285
Ac6 Ac 0.178 0.000 0.786
Ac7 Ac 0.225 0.500 0.930
Ac8 Ac 0.227 0.500 0.641
Ac9 Ac 0.276 0.000 0.500
Ac10 Ac 0.278 0.000 0.071
Ac11 Ac 0.318 0.500 0.357
Ac12 Ac 0.321 0.500 0.214
Ac13 Ac 0.456 0.000 0.857
Ac14 Ac 0.458 0.000 0.713
Sb1 Sb 0.089 0.000 0.891
Sb2 Sb 0.092 0.000 0.680
Sb3 Sb 0.138 0.500 0.535
Sb4 Sb 0.139 0.500 0.035
Sb5 Sb 0.184 0.000 0.391
Sb6 Sb 0.188 0.000 0.180
Sb7 Sb 0.364 0.000 0.960
Sb8 Sb 0.365 0.000 0.610
Sb9 Sb 0.411 0.500 0.461
Sb10 Sb 0.413 0.500 0.111
Te1 Te 0.339 0.500 0.783
Te2 Te 0.438 0.000 0.289
```

---

[11]
The following is a calculated X-ray powder pattern of AcTiSb. It was derived from the PBE geometry in Alexandria, using copper Kα.
Peak positions follow from Bragg's law for the DFT cell and can differ from measured ones.

Largest 6 diffraction maxima, by angle, 2θ = 10–90°:
- 2θ = 26.07°, 3.418 Å, intensity 51.6, (0 1 2)
- 2θ = 27.33°, 3.263 Å, intensity 93.8, (0 2 1)
- 2θ = 30.66°, 2.916 Å, intensity 74.6, (2 0 0)
- 2θ = 32.48°, 2.757 Å, intensity 100.0, (1 0 2)
- 2θ = 33.66°, 2.662 Å, intensity 51.5, (1 2 1)
- 2θ = 34.07°, 2.631 Å, intensity 49.0, (1 1 -3)

```
data_AcTiSb
_chemical_formula_sum 'Ac4 Ti4 Sb4'
_space_group_name_H-M_alt 'P 1 21/c 1'
_space_group_IT_number 14
_space_group_name_Hall '-P 2ybc'
_cell_length_a 6.378
_cell_length_b 7.190
_cell_length_c 8.491
_cell_angle_alpha 90.00
_cell_angle_beta 113.78
_cell_angle_gamma 90.00
loop_
_atom_site_label
_atom_site_type_symbol
_atom_site_fract_x
_atom_site_fract_y
_atom_site_fract_z
Ac1 Ac 0.210 0.152 0.383
Ti1 Ti 0.216 0.579 0.542
Sb1 Sb 0.360 0.613 0.267
```

---

[12]
The following is a calculated X-ray powder pattern of AcTm3Sb2. It was derived from the PBE geometry in Alexandria, using copper Kα.
Peak positions follow from Bragg's law for the DFT cell and can differ from measured ones.

Largest 6 diffraction maxima, by angle, 2θ = 10–90°:
- 2θ = 28.39°, 3.144 Å, intensity 43.7, (3 1 -2)
- 2θ = 30.17°, 2.962 Å, intensity 100.0, (1 1 2)
- 2θ = 31.59°, 2.832 Å, intensity 94.4, (5 1 -1)
- 2θ = 33.56°, 2.670 Å, intensity 34.2, (6 0 -3)
- 2θ = 34.61°, 2.591 Å, intensity 44.9, (1 1 -3)
- 2θ = 41.44°, 2.179 Å, intensity 48.5, (0 2 0)

```
data_AcTm3Sb2
_chemical_formula_sum 'Ac4 Tm12 Sb8'
_space_group_name_H-M_alt 'C 1 2/m 1'
_space_group_IT_number 12
_space_group_name_Hall '-C 2y'
_cell_length_a 18.637
_cell_length_b 4.358
_cell_length_c 9.928
_cell_angle_alpha 90.00
_cell_angle_beta 113.06
_cell_angle_gamma 90.00
loop_
_atom_site_label
_atom_site_type_symbol
_atom_site_fract_x
_atom_site_fract_y
_atom_site_fract_z
Ac1 Ac 0.114 0.000 0.130
Tm1 Tm 0.057 0.000 0.670
Tm2 Tm 0.135 0.500 0.475
Tm3 Tm 0.190 0.500 0.878
Sb1 Sb 0.018 0.500 0.842
Sb2 Sb 0.239 0.000 0.693
```

---

[13]
The following is a calculated X-ray powder pattern of Ac4TmSb5. It was derived from the PBE geometry in Alexandria, using copper Kα.
Peak positions follow from Bragg's law for the DFT cell and can differ from measured ones.

Largest 6 diffraction maxima, by angle, 2θ = 10–90°:
- 2θ = 26.63°, 3.347 Å, intensity 51.1, (0 0 2)
- 2θ = 26.78°, 3.329 Å, intensity 100.0, (1 3 0)
- 2θ = 38.13°, 2.360 Å, intensity 79.4, (1 3 2)
- 2θ = 38.24°, 2.354 Å, intensity 38.5, (4 2 0)
- 2θ = 47.21°, 1.925 Å, intensity 42.5, (4 2 2)
- 2θ = 62.34°, 1.489 Å, intensity 35.9, (2 6 2)

```
data_Ac4TmSb5
_chemical_formula_sum 'Ac8 Tm2 Sb10'
_space_group_name_H-M_alt 'I 4/m'
_space_group_IT_number 87
_space_group_name_Hall '-I 4'
_cell_length_a 10.526
_cell_length_b 10.526
_cell_length_c 6.694
_cell_angle_alpha 90.00
_cell_angle_beta 90.00
_cell_angle_gamma 90.00
loop_
_atom_site_label
_atom_site_type_symbol
_atom_site_fract_x
_atom_site_fract_y
_atom_site_fract_z
Ac1 Ac 0.095 0.300 0.000
Tm1 Tm 0.000 0.000 0.500
Sb1 Sb 0.000 0.000 0.000
Sb2 Sb 0.096 0.286 0.500
```

---

[14]
The following is a calculated X-ray powder pattern of AcY2Sb. It was derived from the PBE geometry in Alexandria, using copper Kα.
Peak positions follow from Bragg's law for the DFT cell and can differ from measured ones.

Largest 6 diffraction maxima, by angle, 2θ = 10–90°:
- 2θ = 17.92°, 4.950 Å, intensity 16.0, (0 0 6)
- 2θ = 27.96°, 3.191 Å, intensity 100.0, (1 0 4)
- 2θ = 29.41°, 3.037 Å, intensity 14.7, (0 1 5)
- 2θ = 35.06°, 2.560 Å, intensity 42.5, (0 1 8)
- 2θ = 44.39°, 2.041 Å, intensity 31.0, (1 1 0)
- 2θ = 53.28°, 1.719 Å, intensity 16.6, (0 2 4)

```
data_AcY2Sb
_chemical_formula_sum 'Ac3 Y6 Sb3'
_space_group_name_H-M_alt 'R -3 m'
_space_group_IT_number 166
_space_group_name_Hall '-R 3 2"'
_cell_length_a 4.0813
_cell_length_b 4.0813
_cell_length_c 29.6973
_cell_angle_alpha 90.00
_cell_angle_beta 90.00
_cell_angle_gamma 120.00
loop_
_atom_site_label
_atom_site_type_symbol
_atom_site_fract_x
_atom_site_fract_y
_atom_site_fract_z
Ac1 Ac 0.0000 0.0000 0.0000
Y1 Y 0.0000 0.0000 0.2301
Sb1 Sb 0.0000 0.0000 0.5000
```